# 1
Structure and theoretical powder diffractogram of Li3SmDy2Sn3 (a crystal structure in OQMD, relaxed with PBE; Cu Kα, 1.54184 Å).
Kinematic intensities with the Lorentz-polarization factor, no thermal factor.

Most intense lines, 10 to 90 degrees two-theta, most intense first:
- d = 2.727 Å, intensity 100
- d = 2.356 Å, intensity 55
- d = 1.783 Å, intensity 29
- d = 4.080 Å, intensity 28
- d = 1.422 Å, intensity 28
- d = 1.447 Å, intensity 23
- d = 3.825 Å, intensity 19
- d = 3.277 Å, intensity 18
- d = 1.360 Å, intensity 10
- d = 1.092 Å, intensity 10

Atomic structure:
Cell: 4.7114 4.7114 10.9992 Å, 90.00 90.00 120.00°
Space group P-6m2 (No. 187)
Unique sites:
Li: 0.0000 0.0000 0.0000
Li: 0.3333 0.6667 0.3062
Sm: 0.6667 0.3333 0.5000
Dy: 0.6667 0.3333 0.1622
Sn: 0.0000 0.0000 0.3223
Sn: 0.3333 0.6667 0.0000

# 2
Structure and theoretical powder diffractogram of DyLuMg (a crystal structure in OQMD, relaxed with PBE; Cu Kα, 1.54184 Å).
Kinematic intensities with the Lorentz-polarization factor, no thermal factor.

Most intense lines, 10 to 90 degrees two-theta, most intense first:
- d = 2.591 Å, intensity 100
- d = 3.664 Å, intensity 90
- d = 1.639 Å, intensity 37
- d = 1.496 Å, intensity 37
- d = 2.115 Å, intensity 27
- d = 1.832 Å, intensity 18
- d = 1.221 Å, intensity 18
- d = 1.159 Å, intensity 16
- d = 1.295 Å, intensity 11
- d = 1.105 Å, intensity 11

Atomic structure:
Cell: 7.3282 7.3282 7.3282 Å, 90.00 90.00 90.00°
Space group F-43m (No. 216)
Unique sites:
Dy: 0.0000 0.0000 0.0000
Lu: 0.0000 0.0000 0.5000
Mg: 0.2500 0.2500 0.2500

# 3
Structure and theoretical powder diffractogram of Dy2Y3Lu2Ni2S2 (a crystal structure in OQMD, relaxed with PBE; Cu Kα, 1.54184 Å).
Kinematic intensities with the Lorentz-polarization factor, no thermal factor.

Most intense lines, 10 to 90 degrees two-theta, most intense first:
- d = 2.531 Å, intensity 100
- d = 2.501 Å, intensity 75
- d = 2.851 Å, intensity 64
- d = 2.586 Å, intensity 59
- d = 2.804 Å, intensity 50
- d = 1.628 Å, intensity 35
- d = 2.978 Å, intensity 34
- d = 7.366 Å, intensity 33
- d = 3.485 Å, intensity 31
- d = 1.885 Å, intensity 31

Atomic structure:
Cell: 3.7704 14.7329 9.1239 Å, 90.00 90.00 90.00°
Space group Imm2 (No. 44)
Unique sites:
Dy: 0.0000 0.1206 0.0000
Y: 0.0000 0.0000 0.5968
Y: 0.0000 0.3643 0.8439
Lu: 0.0000 0.3154 0.2073
Ni: 0.0000 0.2402 0.5154
S: 0.0000 0.0000 0.2541
S: 0.0000 0.5000 0.3417

# 4
Structure and theoretical powder diffractogram of DyTm4Lu2Ni2Se2 (a crystal structure in OQMD, relaxed with PBE; Cu Kα, 1.54184 Å).
Kinematic intensities with the Lorentz-polarization factor, no thermal factor.

Most intense lines, 10 to 90 degrees two-theta, most intense first:
- d = 2.535 Å, intensity 100
- d = 2.604 Å, intensity 70
- d = 2.855 Å, intensity 62
- d = 2.506 Å, intensity 54
- d = 2.819 Å, intensity 31
- d = 1.879 Å, intensity 30
- d = 1.524 Å, intensity 27
- d = 2.990 Å, intensity 27
- d = 1.711 Å, intensity 25
- d = 3.001 Å, intensity 23

Atomic structure:
Cell: 3.7574 14.8058 9.1954 Å, 90.00 90.00 90.00°
Space group Imm2 (No. 44)
Unique sites:
Dy: 0.0000 0.0000 0.0000
Tm: 0.0000 0.1270 0.5854
Tm: 0.0000 0.3587 0.7393
Lu: 0.0000 0.3167 0.3795
Ni: 0.0000 0.2370 0.0733
Se: 0.0000 0.0000 0.3407
Se: 0.0000 0.5000 0.2396